# 1
Structure and simulated powder diffractogram of Ba8PdPtAu2 (a DFT-relaxed cell (GGA-PBE, Alexandria); Cu Kα X-rays).
Peak positions follow from Bragg's law for the DFT cell and can differ from measured ones.

Crystal structure
Unit cell a=7.602 b=9.560 c=7.821 alpha=90.00 beta=90.24 gamma=90.00
Fractional positions:
Ba: 0.220 0.247 0.330
Ba: 0.220 0.753 0.330
Ba: 0.264 0.000 0.816
Ba: 0.266 0.500 0.820
Ba: 0.734 0.500 0.180
Ba: 0.736 0.000 0.184
Ba: 0.780 0.247 0.670
Ba: 0.780 0.753 0.670
Pd: 0.000 0.500 0.500
Pt: 0.000 0.000 0.500
Au: 0.500 0.249 0.000
Au: 0.500 0.751 0.000

Peak list (10 most intense, 10 to 90 degrees two-theta, low angle first)
- 16.3 deg, I = 87
- 22.0 deg, I = 22
- 24.8 deg, I = 100
- 25.6 deg, I = 37
- 31.8 deg, I = 37
- 32.2 deg, I = 76
- 32.8 deg, I = 20
- 32.9 deg, I = 26
- 37.6 deg, I = 29
- 39.4 deg, I = 50


# 2
Structure and simulated powder diffractogram of BaSrLa2Fe (a DFT-relaxed cell (GGA-PBE, Alexandria); Cu Kα X-rays).
Peak positions follow from Bragg's law for the DFT cell and can differ from measured ones.

Crystal structure
Unit cell a=5.397 b=5.397 c=6.399 alpha=90.00 beta=90.00 gamma=90.00
Fractional positions:
Ba: 0.000 0.000 0.000
Sr: 0.500 0.500 0.000
La: 0.000 0.500 0.500
La: 0.500 0.000 0.500
Fe: 0.500 0.500 0.500

Peak list (10 most intense, 10 to 90 degrees two-theta, low angle first)
- 27.2 deg, I = 100
- 27.9 deg, I = 38
- 33.2 deg, I = 48
- 43.9 deg, I = 44
- 47.7 deg, I = 17
- 48.9 deg, I = 20
- 55.7 deg, I = 27
- 56.1 deg, I = 21
- 70.7 deg, I = 13
- 86.1 deg, I = 13


# 3
Structure and simulated powder diffractogram of Rb4HfO4 (a DFT-relaxed cell (GGA-PBE, Alexandria); Cu Kα X-rays).
Peak positions follow from Bragg's law for the DFT cell and can differ from measured ones.

Crystal structure
Unit cell a=7.108 b=7.108 c=7.108 alpha=128.88 beta=128.75 gamma=75.31
Fractional positions:
Rb: 0.040 0.662 0.001
Rb: 0.339 0.338 0.378
Rb: 0.661 0.039 0.999
Rb: 0.960 0.961 0.622
Hf: 0.500 0.500 0.000
O: 0.213 0.212 0.632
O: 0.419 0.788 0.000
O: 0.581 0.581 0.368
O: 0.787 0.419 0.000

Peak list (10 most intense, 10 to 90 degrees two-theta, low angle first)
- 16.4 deg, I = 47
- 20.5 deg, I = 54
- 25.9 deg, I = 86
- 27.9 deg, I = 75
- 33.2 deg, I = 33
- 33.6 deg, I = 100
- 41.6 deg, I = 23
- 43.6 deg, I = 46
- 52.6 deg, I = 27
- 59.6 deg, I = 31


# 4
Structure and simulated powder diffractogram of ThMnSi2Rh (a DFT-relaxed cell (GGA-PBE, Alexandria); Cu Kα X-rays).
Peak positions follow from Bragg's law for the DFT cell and can differ from measured ones.

Crystal structure
Unit cell a=5.705 b=5.705 c=5.705 alpha=137.41 beta=137.41 gamma=61.81
Fractional positions:
Th: 0.000 0.000 0.000
Mn: 0.750 0.250 0.500
Si: 0.369 0.369 0.000
Si: 0.631 0.631 0.000
Rh: 0.250 0.750 0.500

Peak list (10 most intense, 10 to 90 degrees two-theta, low angle first)
- 23.3 deg, I = 71
- 35.0 deg, I = 54
- 35.7 deg, I = 100
- 36.7 deg, I = 17
- 43.7 deg, I = 38
- 50.1 deg, I = 20
- 57.2 deg, I = 27
- 58.3 deg, I = 18
- 65.5 deg, I = 18
- 75.0 deg, I = 23


# 5
Structure and simulated powder diffractogram of Na6S2ClO8F (a DFT-relaxed cell (GGA-PBE, Alexandria); Cu Kα X-rays).
Peak positions follow from Bragg's law for the DFT cell and can differ from measured ones.

Crystal structure
Unit cell a=7.206 b=7.206 c=7.206 alpha=60.00 beta=60.00 gamma=60.00
Fractional positions:
Na: 0.223 0.223 0.777
Na: 0.223 0.777 0.223
Na: 0.223 0.777 0.777
Na: 0.777 0.223 0.223
Na: 0.777 0.223 0.777
Na: 0.777 0.777 0.223
S: 0.250 0.250 0.250
S: 0.750 0.750 0.750
Cl: 0.500 0.500 0.500
O: 0.165 0.165 0.165
O: 0.165 0.165 0.504
O: 0.165 0.504 0.165
O: 0.496 0.835 0.835
O: 0.504 0.165 0.165
O: 0.835 0.496 0.835
O: 0.835 0.835 0.496
O: 0.835 0.835 0.835
F: 0.000 0.000 0.000

Peak list (10 most intense, 10 to 90 degrees two-theta, low angle first)
- 24.7 deg, I = 100
- 29.1 deg, I = 34
- 30.4 deg, I = 77
- 35.2 deg, I = 49
- 39.5 deg, I = 16
- 46.3 deg, I = 44
- 50.7 deg, I = 71
- 69.0 deg, I = 17
- 71.1 deg, I = 14
- 85.2 deg, I = 20


# 6
Structure and simulated powder diffractogram of Hf3FeBi (a DFT-relaxed cell (GGA-PBE, Alexandria); Cu Kα X-rays).
Peak positions follow from Bragg's law for the DFT cell and can differ from measured ones.

Crystal structure
Unit cell a=5.258 b=6.125 c=6.754 alpha=88.34 beta=79.73 gamma=79.76
Fractional positions:
Hf: 0.000 0.000 0.000
Hf: 0.014 0.667 0.393
Hf: 0.036 0.165 0.556
Hf: 0.462 0.752 0.689
Hf: 0.583 0.370 0.323
Hf: 0.913 0.531 0.904
Fe: 0.079 0.310 0.206
Fe: 0.322 0.616 0.037
Bi: 0.484 0.243 0.803
Bi: 0.496 0.898 0.243

Peak list (10 most intense, 10 to 90 degrees two-theta, low angle first)
- 29.4 deg, I = 50
- 32.7 deg, I = 69
- 33.3 deg, I = 73
- 34.4 deg, I = 91
- 34.7 deg, I = 88
- 35.2 deg, I = 100
- 35.8 deg, I = 56
- 36.6 deg, I = 39
- 37.2 deg, I = 55
- 43.2 deg, I = 43